Record 1
Simulated X-ray diffraction stick pattern of TiMo2Se4Cl2 for Cu Kα, 1.54184 Å, from the GGA-PBE geometry in Alexandria.

Largest 8 diffraction maxima, by angle, 2θ from 10° to 80°:
11.63°, rel. 100
31.17°, rel. 28
33.37°, rel. 12
35.00°, rel. 20
37.00°, rel. 29
41.93°, rel. 39
44.79°, rel. 19
55.46°, rel. 20

Cell and atoms:
a = 3.314 Å, b = 3.314 Å, c = 22.830 Å
α = 90.00°, β = 90.00°, γ = 120.00°
Fractional coordinates of all 9 atoms:
Ti1 0.000 0.000 0.000
Mo1 0.000 0.000 0.664
Mo2 0.667 0.333 0.316
Se1 0.000 0.000 0.242
Se2 0.000 0.000 0.389
Se3 0.667 0.333 0.590
Se4 0.667 0.333 0.737
Cl1 0.667 0.333 0.069
Cl2 0.667 0.333 0.931

---

Record 2
Simulated X-ray diffraction stick pattern of Dy4Tl3Hg2 for Cu Kα, 1.54184 Å, from the GGA-PBE geometry in Alexandria.

Largest 8 diffraction maxima, by angle, 2θ from 10° to 80°:
32.38°, rel. 100
34.78°, rel. 86
48.25°, rel. 33
56.17°, rel. 19
60.84°, rel. 34
62.35°, rel. 16
67.79°, rel. 11
78.50°, rel. 15

Cell and atoms:
a = 5.159 Å, b = 5.159 Å, c = 10.559 Å
α = 90.00°, β = 90.00°, γ = 120.00°
Fractional coordinates of all 9 atoms:
Dy1 0.000 0.000 0.172
Dy2 0.000 0.000 0.828
Dy3 0.333 0.667 0.613
Dy4 0.667 0.333 0.387
Tl1 0.000 0.000 0.500
Tl2 0.333 0.667 0.941
Tl3 0.667 0.333 0.059
Hg1 0.333 0.667 0.299
Hg2 0.667 0.333 0.701

---

Record 3
Simulated X-ray diffraction stick pattern of In2AgPb for Cu Kα, 1.54184 Å, from the GGA-PBE geometry in Alexandria.

Largest 8 diffraction maxima, by angle, 2θ from 10° to 80°:
32.21°, rel. 100
32.95°, rel. 77
33.12°, rel. 86
34.78°, rel. 77
35.98°, rel. 71
36.65°, rel. 65
44.91°, rel. 33
48.54°, rel. 26

Cell and atoms:
a = 3.402 Å, b = 5.598 Å, c = 6.142 Å
α = 111.25°, β = 104.82°, γ = 95.47°
Fractional coordinates of all 4 atoms:
In1 0.233 0.225 0.449
In2 0.767 0.775 0.551
Ag1 0.500 0.000 0.000
Pb1 0.000 0.500 0.000

---

Record 4
Simulated X-ray diffraction stick pattern of Sr2MgCd10 for Cu Kα, 1.54184 Å, from the GGA-PBE geometry in Alexandria.

Largest 8 diffraction maxima, by angle, 2θ from 10° to 80°:
14.61°, rel. 100
33.50°, rel. 45
34.45°, rel. 59
34.82°, rel. 64
37.16°, rel. 54
37.75°, rel. 35
38.52°, rel. 48
42.54°, rel. 39

Cell and atoms:
a = 10.650 Å, b = 12.419 Å, c = 6.061 Å
α = 90.00°, β = 90.00°, γ = 90.00°
Fractional coordinates of all 26 atoms:
Sr1 0.134 0.131 0.000
Sr2 0.366 0.631 0.000
Sr3 0.634 0.369 0.000
Sr4 0.866 0.869 0.000
Mg1 0.000 0.500 0.500
Mg2 0.500 0.000 0.500
Cd1 0.042 0.891 0.500
Cd2 0.080 0.692 0.238
Cd3 0.080 0.692 0.762
Cd4 0.183 0.310 0.500
Cd5 0.239 0.052 0.500
Cd6 0.261 0.552 0.500
Cd7 0.317 0.810 0.500
Cd8 0.420 0.192 0.238
Cd9 0.420 0.192 0.762
Cd10 0.458 0.391 0.500
Cd11 0.542 0.609 0.500
Cd12 0.580 0.808 0.238
Cd13 0.580 0.808 0.762
Cd14 0.683 0.190 0.500
Cd15 0.739 0.448 0.500
Cd16 0.761 0.948 0.500
Cd17 0.817 0.690 0.500
Cd18 0.920 0.308 0.238
Cd19 0.920 0.308 0.762
Cd20 0.958 0.109 0.500

---

Record 5
Simulated X-ray diffraction stick pattern of NaTbPd for Cu Kα, 1.54184 Å, from the GGA-PBE geometry in Alexandria.

Largest 8 diffraction maxima, by angle, 2θ from 10° to 80°:
29.71°, rel. 80
30.85°, rel. 72
31.39°, rel. 100
32.45°, rel. 62
33.21°, rel. 67
43.77°, rel. 55
44.59°, rel. 52
45.77°, rel. 47

Cell and atoms:
a = 4.064 Å, b = 4.064 Å, c = 9.470 Å
α = 102.55°, β = 102.55°, γ = 89.04°
Fractional coordinates of all 6 atoms:
Na1 0.244 0.244 0.000
Na2 0.756 0.756 0.000
Tb1 0.316 0.316 0.631
Tb2 0.684 0.684 0.369
Pd1 0.153 0.153 0.306
Pd2 0.847 0.847 0.694